For Sc3Sb, the GGA-PBE geometry in the Materials Project gives the simulated XRD peak list in this record (λ = 1.5418 Å (Cu Kα)).

Cell and atoms:
abc: 4.337 4.337 9.775
angles: 90.00 90.00 90.00
Space group I4/mmm (No. 139)
Symmetry-distinct sites (fractional):
Sc: 0.000 0.000 0.000 x2
Sc: 0.000 0.500 0.250 x4
Sb: 0.000 0.000 0.500 x2

Principal peaks in the range 2θ = 15–90°, in order of falling intensity:
- (1 1 2), 34.52°, rel. 100
- (2 0 0), 41.65°, rel. 27
- (1 0 1), 22.43°, rel. 24
- (3 1 2), 71.43°, rel. 21
- (2 0 4), 56.75°, rel. 20
- (0 0 4), 36.78°, rel. 19
- (1 1 6), 64.80°, rel. 13
- (0 0 2), 18.15°, rel. 10
- (2 2 4), 72.81°, rel. 9
- (2 2 0), 60.36°, rel. 8

***

For ScSb, the GGA-PBE geometry in the Materials Project gives the simulated XRD peak list in this record (λ = 1.5418 Å (Cu Kα)).

Cell and atoms:
abc: 5.892 5.892 5.892
angles: 90.00 90.00 90.00
Space group Fm-3m (No. 225)
Symmetry-distinct sites (fractional):
Sc: 0.000 0.000 0.000 x4
Sb: 0.000 0.000 0.500 x4

Principal peaks in the range 2θ = 15–90°, in order of falling intensity:
- (2 0 0), 30.34°, rel. 100
- (2 2 0), 43.44°, rel. 73
- (1 1 1), 26.19°, rel. 40
- (4 2 0), 71.62°, rel. 31
- (2 2 2), 53.90°, rel. 25
- (4 2 2), 79.72°, rel. 23
- (3 1 1), 51.43°, rel. 20
- (4 0 0), 63.11°, rel. 11
- (3 3 1), 69.54°, rel. 8
- (5 1 1), 85.66°, rel. 7

***

For TbScSb, the GGA-PBE geometry in the Materials Project gives the simulated XRD peak list in this record (λ = 1.5418 Å (Cu Kα)).

Cell and atoms:
abc: 4.357 4.357 8.189
angles: 90.00 90.00 90.00
Space group P4/nmm (No. 129, origin choice 2)
Symmetry-distinct sites (fractional):
Tb: 0.250 0.250 0.153 x2
Sc: 0.250 0.750 0.500 x2
Sb: 0.250 0.250 0.765 x2

Principal peaks in the range 2θ = 15–90°, in order of falling intensity:
- (1 1 0), 28.98°, rel. 100
- (1 1 2), 36.50°, rel. 95
- (2 0 0), 41.45°, rel. 73
- (1 1 1), 31.01°, rel. 66
- (1 0 2), 29.95°, rel. 53
- (1 0 3), 38.93°, rel. 40
- (2 0 3), 53.84°, rel. 36
- (0 0 3), 32.81°, rel. 36
- (2 1 5), 75.89°, rel. 33
- (1 0 5), 60.38°, rel. 32

***

For Sm10Sb3Se7, the GGA-PBE geometry in the Materials Project gives the simulated XRD peak list in this record (λ = 1.5418 Å (Cu Kα)).

Cell and atoms:
abc: 7.447 21.301 7.338
angles: 90.00 109.34 90.00
Space group C2/m (No. 12)
Symmetry-distinct sites (fractional):
Sm: 0.243 0.000 0.255 x4
Sm: 0.248 0.100 0.749 x8
Sm: 0.248 0.197 0.238 x8
Sb: 0.000 0.202 0.500 x4
Sb: 0.000 0.500 0.000 x2
Se: 0.000 0.000 0.500 x2
Se: 0.000 0.098 0.000 x4
Se: 0.000 0.300 0.000 x4
Se: 0.000 0.400 0.500 x4

Principal peaks in the range 2θ = 15–90°, in order of falling intensity:
- (1 5 1), 29.61°, rel. 100
- (3 5 -1), 42.13°, rel. 25
- (1 5 -3), 42.62°, rel. 24
- (2 10 -2), 52.61°, rel. 13
- (2 0 2), 42.28°, rel. 13
- (0 10 0), 42.44°, rel. 12
- (2 10 2), 61.47°, rel. 12
- (4 10 0), 69.35°, rel. 11
- (0 10 4), 70.06°, rel. 11
- (4 0 0), 52.06°, rel. 7

***

For Sb4Te3Se3, the GGA-PBE geometry in the Materials Project gives the simulated XRD peak list in this record (λ = 1.5418 Å (Cu Kα)).

Cell and atoms:
abc: 20.319 4.210 7.286
angles: 90.00 96.72 90.00
Space group Cm (No. 8)
Symmetry-distinct sites (fractional):
Sb: 0.000 0.000 0.000 x2
Sb: 0.001 0.500 0.491 x2
Sb: 0.181 0.000 0.389 x2
Sb: 0.182 0.500 0.888 x2
Te: 0.269 0.000 0.086 x2
Te: 0.269 0.500 0.582 x2
Te: 0.413 0.000 0.802 x2
Se: 0.089 0.000 0.690 x2
Se: 0.092 0.500 0.192 x2
Se: 0.427 0.500 0.301 x2

Principal peaks in the range 2θ = 15–90°, in order of falling intensity:
- (3 1 1), 28.59°, rel. 100
- (0 2 0), 42.99°, rel. 37
- (7 1 -1), 38.67°, rel. 29
- (4 2 -2), 52.44°, rel. 18
- (8 0 2), 46.27°, rel. 12
- (3 3 1), 70.02°, rel. 10
- (5 1 1), 34.16°, rel. 9
- (4 0 0), 17.58°, rel. 9
- (11 1 3), 71.83°, rel. 8
- (1 3 -3), 78.78°, rel. 6

***

For ThSbSe, the GGA-PBE geometry in the Materials Project gives the simulated XRD peak list in this record (λ = 1.5418 Å (Cu Kα)).

Cell and atoms:
abc: 4.291 4.291 8.798
angles: 90.00 90.00 90.00
Space group P4/nmm (No. 129, origin choice 2)
Symmetry-distinct sites (fractional):
Th: 0.250 0.250 0.213 x2
Sb: 0.250 0.750 0.500 x2
Se: 0.250 0.250 0.866 x2

Principal peaks in the range 2θ = 15–90°, in order of falling intensity:
- (1 1 2), 35.96°, rel. 100
- (1 1 1), 31.18°, rel. 69
- (1 0 1), 23.06°, rel. 69
- (2 0 0), 42.12°, rel. 54
- (1 0 3), 37.13°, rel. 40
- (0 0 3), 30.48°, rel. 39
- (2 0 3), 52.88°, rel. 33
- (3 1 2), 72.96°, rel. 32
- (1 1 0), 29.44°, rel. 26
- (2 1 3), 57.39°, rel. 23

***

For Ti20Sb9Se3, the GGA-PBE geometry in the Materials Project gives the simulated XRD peak list in this record (λ = 1.5418 Å (Cu Kα)).

Cell and atoms:
abc: 6.983 8.287 10.194
angles: 90.00 90.09 90.00
Space group Pm (No. 6)
Symmetry-distinct sites (fractional):
Ti: 0.000 0.000 0.000 x1
Ti: 0.001 0.500 0.000 x1
Ti: 0.032 0.209 0.717 x2
Ti: 0.143 0.198 0.218 x2
Ti: 0.166 0.500 0.498 x1
Ti: 0.181 0.000 0.485 x1
Ti: 0.301 0.500 0.775 x1
Ti: 0.348 0.000 0.768 x1
Ti: 0.485 0.500 0.065 x1
Ti: 0.505 0.000 0.047 x1
Ti: 0.525 0.302 0.328 x2
Ti: 0.638 0.317 0.830 x2
Ti: 0.652 0.000 0.534 x1
Ti: 0.684 0.500 0.562 x1
Ti: 0.803 0.000 0.270 x1
Ti: 0.864 0.500 0.278 x1
Sb: 0.264 0.243 0.951 x2
Sb: 0.406 0.261 0.596 x2
Sb: 0.747 0.000 0.798 x1
Sb: 0.762 0.260 0.099 x2
Sb: 0.905 0.241 0.450 x2
Se: 0.251 0.500 0.256 x1
Se: 0.417 0.000 0.295 x1
Se: 0.918 0.500 0.755 x1

Principal peaks in the range 2θ = 15–90°, in order of falling intensity:
- (2 2 -1), 34.73°, rel. 100
- (2 2 2), 38.05°, rel. 80
- (1 2 -3), 36.54°, rel. 67
- (1 0 3), 29.23°, rel. 64
- (0 4 0), 43.69°, rel. 54
- (1 0 4), 37.57°, rel. 41
- (1 2 -1), 26.50°, rel. 38
- (3 2 -2), 48.27°, rel. 31
- (0 2 4), 41.60°, rel. 28
- (0 2 2), 27.75°, rel. 24

***

For Tl9SbSe6, the GGA-PBE geometry in the Materials Project gives the simulated XRD peak list in this record (λ = 1.5418 Å (Cu Kα)).

Cell and atoms:
abc: 8.528 8.528 13.446
angles: 90.00 90.00 90.00
Space group I4/m (No. 87)
Symmetry-distinct sites (fractional):
Tl: 0.000 0.000 0.000 x2
Tl: 0.143 0.657 0.348 x16
Sb: 0.000 0.000 0.500 x2
Se: 0.000 0.000 0.281 x4
Se: 0.146 0.317 0.500 x8

Principal peaks in the range 2θ = 15–90°, in order of falling intensity:
- (2 1 3), 30.78°, rel. 100
- (3 1 0), 33.22°, rel. 47
- (3 3 4), 53.12°, rel. 24
- (1 2 1), 24.26°, rel. 21
- (5 2 3), 62.18°, rel. 19
- (1 1 4), 30.45°, rel. 15
- (0 0 6), 40.23°, rel. 13
- (1 4 3), 48.47°, rel. 12
- (4 0 4), 50.71°, rel. 11
- (1 2 7), 53.41°, rel. 10